Simulated powder XRD pattern of Dy8YTm6 for Cu Ka, from a structure optimized by DFT (GGA-PBE).

Most intense lines, 5 to 70 degrees two-theta, in order of falling intensity:
| d [Å] | I_rel |
| --- | --- |
| 2.816 | 100 |
| 2.736 | 30 |
| 2.900 | 24 |
| 2.416 | 14 |
| 1.707 | 14 |
| 2.543 | 12 |
| 2.713 | 11 |
| 1.679 | 11 |
| 1.519 | 10 |
| 1.642 | 10 |

Atomic structure:
Cell lengths 8.560, 8.560, 8.560 Å; angles 63.04, 63.04, 63.04 degrees
Fractional positions:
Dy 0.077 0.077 0.077
Dy 0.220 0.610 0.245
Dy 0.245 0.220 0.610
Dy 0.390 0.755 0.780
Dy 0.610 0.245 0.220
Dy 0.755 0.780 0.390
Dy 0.780 0.390 0.755
Dy 0.923 0.923 0.923
Y 0.500 0.500 0.500
Tm 0.040 0.606 0.734
Tm 0.266 0.960 0.394
Tm 0.394 0.266 0.960
Tm 0.606 0.734 0.040
Tm 0.734 0.040 0.606
Tm 0.960 0.394 0.266